# K2MgP2Se6
Theoretical powder X-ray diffraction pattern, copper Kα. Input: the PBE geometry in Alexandria.
Intensities are scaled so that the largest is 100.

Structure:
a = 8.3063 Å, b = 8.3063 Å, c = 8.3063 Å
α = 50.91°, β = 50.91°, γ = 50.91°
Element x y z (fractional)
1 K 0.2301 0.2301 0.2301
2 K 0.7699 0.7699 0.7699
3 Mg 0.0000 0.0000 0.0000
4 P 0.4445 0.4445 0.4445
5 P 0.5555 0.5555 0.5555
6 Se 0.2230 0.7503 0.7503
7 Se 0.2497 0.2497 0.7770
8 Se 0.2497 0.7770 0.2497
9 Se 0.7503 0.2230 0.7503
10 Se 0.7503 0.7503 0.2230
11 Se 0.7770 0.2497 0.2497

The 8 most intense peaks (15° ≤ 2θ ≤ 90°), by intensity:
| 2θ/deg | intensity |
| --- | --- |
| 33.38 | 100.0 |
| 30.06 | 92.7 |
| 24.69 | 61.4 |
| 16.51 | 40.7 |
| 51.17 | 34.7 |
| 57.62 | 30.5 |
| 44.51 | 26.2 |
| 51.56 | 18.2 |

***

# La4Tb5Pr
Theoretical powder X-ray diffraction pattern, copper Kα. Input: the PBE geometry in Alexandria.
Intensities are scaled so that the largest is 100.

Structure:
a = 3.6924 Å, b = 3.6924 Å, c = 25.2765 Å
α = 90.00°, β = 90.00°, γ = 90.00°
Element x y z (fractional)
1 La 0.0000 0.0000 0.1000
2 La 0.0000 0.0000 0.3000
3 La 0.0000 0.0000 0.7000
4 La 0.0000 0.0000 0.9000
5 Tb 0.5000 0.5000 0.0000
6 Tb 0.5000 0.5000 0.2001
7 Tb 0.5000 0.5000 0.4007
8 Tb 0.5000 0.5000 0.5993
9 Tb 0.5000 0.5000 0.7999
10 Pr 0.0000 0.0000 0.5000

The 8 most intense peaks (15° ≤ 2θ ≤ 90°), by intensity:
| 2θ/deg | intensity |
| --- | --- |
| 29.97 | 100.0 |
| 34.35 | 34.9 |
| 58.83 | 29.6 |
| 50.24 | 23.8 |
| 35.52 | 15.9 |
| 60.38 | 13.7 |
| 49.36 | 12.5 |
| 62.27 | 12.5 |

***

# Li5CuF8
Theoretical powder X-ray diffraction pattern, copper Kα. Input: the PBE geometry in Alexandria.
Intensities are scaled so that the largest is 100.

Structure:
a = 5.9676 Å, b = 5.9676 Å, c = 5.9676 Å
α = 58.44°, β = 58.44°, γ = 58.44°
Element x y z (fractional)
1 Li 0.0000 0.5000 0.5000
2 Li 0.1419 0.1419 0.1419
3 Li 0.5000 0.0000 0.5000
4 Li 0.5000 0.5000 0.0000
5 Li 0.8581 0.8581 0.8581
6 Cu 0.5000 0.5000 0.5000
7 F 0.2669 0.2669 0.2669
8 F 0.2683 0.2683 0.7322
9 F 0.2683 0.7322 0.2683
10 F 0.2678 0.7317 0.7317
11 F 0.7322 0.2683 0.2683
12 F 0.7317 0.2678 0.7317
13 F 0.7317 0.7317 0.2678
14 F 0.7331 0.7331 0.7331

The 8 most intense peaks (15° ≤ 2θ ≤ 90°), by intensity:
| 2θ/deg | intensity |
| --- | --- |
| 18.58 | 100.0 |
| 43.42 | 69.6 |
| 21.32 | 38.9 |
| 35.17 | 23.1 |
| 35.80 | 22.6 |
| 30.69 | 22.6 |
| 63.91 | 20.9 |
| 62.27 | 20.0 |

***

# Tb4Nd2In
Theoretical powder X-ray diffraction pattern, copper Kα. Input: the PBE geometry in Alexandria.
Intensities are scaled so that the largest is 100.

Structure:
a = 6.3153 Å, b = 10.8003 Å, c = 6.5399 Å
α = 90.00°, β = 90.09°, γ = 90.00°
Element x y z (fractional)
1 Tb 0.0690 0.1538 0.4992
2 Tb 0.0690 0.3462 0.9992
3 Tb 0.3983 0.7501 0.2500
4 Tb 0.3983 0.7499 0.7500
5 Tb 0.6017 0.2501 0.2500
6 Tb 0.6017 0.2499 0.7500
7 Tb 0.9310 0.6538 0.0008
8 Tb 0.9310 0.8462 0.5008
9 Nd 0.2444 0.0432 0.9992
10 Nd 0.2444 0.4568 0.4992
11 Nd 0.7556 0.5432 0.5008
12 Nd 0.7556 0.9568 0.0008
13 In 0.5000 0.0000 0.5000
14 In 0.5000 0.5000 0.0000

The 8 most intense peaks (15° ≤ 2θ ≤ 90°), by intensity:
| 2θ/deg | intensity |
| --- | --- |
| 32.56 | 100.0 |
| 35.09 | 67.1 |
| 31.71 | 66.3 |
| 32.00 | 64.8 |
| 29.47 | 63.3 |
| 31.91 | 56.6 |
| 28.54 | 49.9 |
| 36.18 | 48.4 |

***

# Ba2Sn3Hg6
Theoretical powder X-ray diffraction pattern, copper Kα. Input: the PBE geometry in Alexandria.
Intensities are scaled so that the largest is 100.

Structure:
a = 8.7539 Å, b = 8.7539 Å, c = 5.1471 Å
α = 90.00°, β = 90.00°, γ = 120.00°
Element x y z (fractional)
1 Ba 0.3333 0.6667 0.0000
2 Ba 0.6667 0.3333 0.0000
3 Sn 0.0000 0.6467 0.5000
4 Sn 0.3533 0.3533 0.5000
5 Sn 0.6467 0.0000 0.5000
6 Hg 0.0000 0.3135 0.5000
7 Hg 0.0000 0.8050 0.0000
8 Hg 0.1950 0.1950 0.0000
9 Hg 0.3135 0.0000 0.5000
10 Hg 0.6865 0.6865 0.5000
11 Hg 0.8050 0.0000 0.0000

The 8 most intense peaks (15° ≤ 2θ ≤ 90°), by intensity:
| 2θ/deg | intensity |
| --- | --- |
| 26.74 | 100.0 |
| 35.87 | 64.0 |
| 34.86 | 39.2 |
| 35.52 | 36.1 |
| 58.61 | 33.1 |
| 39.74 | 32.1 |
| 50.62 | 26.7 |
| 31.22 | 21.5 |

***

# Ti3Cu4Ni2
Theoretical powder X-ray diffraction pattern, copper Kα. Input: the PBE geometry in Alexandria.
Intensities are scaled so that the largest is 100.

Structure:
a = 7.4963 Å, b = 7.4963 Å, c = 4.4882 Å
α = 97.70°, β = 97.70°, γ = 74.22°
Element x y z (fractional)
1 Ti 0.1151 0.8849 0.7500
2 Ti 0.2033 0.4638 0.9201
3 Ti 0.4638 0.2033 0.4201
4 Ti 0.5362 0.7967 0.5799
5 Ti 0.7967 0.5362 0.0799
6 Ti 0.8849 0.1151 0.2500
7 Cu 0.1008 0.3436 0.3707
8 Cu 0.3152 0.5740 0.4722
9 Cu 0.3436 0.1008 0.8707
10 Cu 0.4260 0.6848 0.0278
11 Cu 0.5740 0.3152 0.9722
12 Cu 0.6564 0.8992 0.1293
13 Cu 0.6848 0.4260 0.5278
14 Cu 0.8992 0.6564 0.6293
15 Ni 0.0134 0.7610 0.1908
16 Ni 0.2390 0.9866 0.3092
17 Ni 0.7610 0.0134 0.6908
18 Ni 0.9866 0.2390 0.8092

The 8 most intense peaks (15° ≤ 2θ ≤ 90°), by intensity:
| 2θ/deg | intensity |
| --- | --- |
| 41.47 | 100.0 |
| 44.47 | 80.7 |
| 39.86 | 55.7 |
| 50.73 | 53.0 |
| 66.38 | 21.6 |
| 72.98 | 16.2 |
| 75.59 | 14.2 |
| 76.98 | 13.8 |

***

# Nd2DyHoSe4
Theoretical powder X-ray diffraction pattern, copper Kα. Input: the PBE geometry in Alexandria.
Intensities are scaled so that the largest is 100.

Structure:
a = 7.1096 Å, b = 4.0778 Å, c = 7.3512 Å
α = 90.00°, β = 108.62°, γ = 90.00°
Element x y z (fractional)
1 Nd 0.0000 0.0000 0.0000
2 Nd 0.5000 0.5000 0.0000
3 Dy 0.0000 0.5000 0.5000
4 Ho 0.5000 0.0000 0.5000
5 Se 0.2456 0.0000 0.7345
6 Se 0.2564 0.5000 0.2660
7 Se 0.7436 0.5000 0.7340
8 Se 0.7544 0.0000 0.2655

The 8 most intense peaks (15° ≤ 2θ ≤ 90°), by intensity:
| 2θ/deg | intensity |
| --- | --- |
| 30.48 | 100.0 |
| 43.08 | 25.3 |
| 44.20 | 24.1 |
| 54.83 | 13.0 |
| 42.89 | 12.8 |
| 63.44 | 12.0 |
| 44.43 | 11.9 |
| 71.18 | 11.6 |

***

# BaBeP2
Theoretical powder X-ray diffraction pattern, copper Kα. Input: the PBE geometry in Alexandria.
Intensities are scaled so that the largest is 100.

Structure:
a = 7.8264 Å, b = 7.8264 Å, c = 7.8264 Å
α = 141.62°, β = 141.62°, γ = 55.41°
Element x y z (fractional)
1 Ba 0.0000 0.0000 0.0000
2 Ba 0.7500 0.2500 0.5000
3 Be 0.2500 0.7500 0.5000
4 Be 0.5000 0.5000 0.0000
5 P 0.3738 0.1250 0.7488
6 P 0.3750 0.6262 0.7512
7 P 0.3762 0.6250 0.2512
8 P 0.8750 0.6238 0.2488

The 8 most intense peaks (15° ≤ 2θ ≤ 90°), by intensity:
| 2θ/deg | intensity |
| --- | --- |
| 27.69 | 100.0 |
| 25.92 | 89.5 |
| 39.71 | 55.9 |
| 18.39 | 40.8 |
| 36.83 | 34.7 |
| 43.83 | 28.0 |
| 34.87 | 26.9 |
| 57.19 | 25.8 |

***

# TaMo2W3
Theoretical powder X-ray diffraction pattern, copper Kα. Input: the PBE geometry in Alexandria.
Intensities are scaled so that the largest is 100.

Structure:
a = 4.5999 Å, b = 8.0976 Å, c = 5.3638 Å
α = 90.00°, β = 90.00°, γ = 90.00°
Element x y z (fractional)
1 Ta 0.0000 0.1620 0.0000
2 Ta 0.0000 0.8380 0.5000
3 Mo 0.0000 0.1758 0.4993
4 Mo 0.0000 0.8242 0.9993
5 Mo 0.5000 0.3802 0.7820
6 Mo 0.5000 0.6198 0.2820
7 W 0.0000 0.4972 0.5694
8 W 0.0000 0.5028 0.0694
9 W 0.5000 0.0453 0.7439
10 W 0.5000 0.2888 0.2779
11 W 0.5000 0.7112 0.7779
12 W 0.5000 0.9547 0.2439

The 8 most intense peaks (15° ≤ 2θ ≤ 90°), by intensity:
| 2θ/deg | intensity |
| --- | --- |
| 38.87 | 100.0 |
| 38.68 | 78.0 |
| 39.17 | 55.3 |
| 47.81 | 37.2 |
| 63.46 | 31.9 |
| 42.32 | 24.3 |
| 37.29 | 18.7 |
| 70.78 | 17.2 |

***

# K2Ga4Pt5
Theoretical powder X-ray diffraction pattern, copper Kα. Input: the PBE geometry in Alexandria.
Intensities are scaled so that the largest is 100.

Structure:
a = 9.1440 Å, b = 8.1057 Å, c = 5.8846 Å
α = 79.91°, β = 60.78°, γ = 39.32°
Element x y z (fractional)
1 K 0.1272 0.1272 0.8728
2 K 0.8728 0.8728 0.1272
3 Ga 0.2103 0.5333 0.4667
4 Ga 0.4667 0.7897 0.2103
5 Ga 0.5333 0.2103 0.7897
6 Ga 0.7897 0.4667 0.5333
7 Pt 0.0000 0.0000 0.5000
8 Pt 0.2500 0.2500 0.2500
9 Pt 0.5000 0.5000 0.0000
10 Pt 0.5000 0.5000 0.5000
11 Pt 0.7500 0.7500 0.7500

The 8 most intense peaks (15° ≤ 2θ ≤ 90°), by intensity:
| 2θ/deg | intensity |
| --- | --- |
| 43.14 | 100.0 |
| 17.30 | 93.6 |
| 35.65 | 70.6 |
| 39.20 | 57.4 |
| 42.60 | 56.9 |
| 18.57 | 47.9 |
| 23.50 | 39.5 |
| 29.33 | 38.4 |

***

# Sc8GaRu2
Theoretical powder X-ray diffraction pattern, copper Kα. Input: the PBE geometry in Alexandria.
Intensities are scaled so that the largest is 100.

Structure:
a = 8.3771 Å, b = 8.3771 Å, c = 8.3771 Å
α = 146.70°, β = 57.52°, γ = 134.52°
Element x y z (fractional)
1 Sc 0.0000 0.0000 0.0000
2 Sc 0.2476 0.5820 0.6656
3 Sc 0.3239 0.4358 0.8881
4 Sc 0.4120 0.1216 0.2905
5 Sc 0.5477 0.4358 0.1119
6 Sc 0.7125 0.2125 0.5000
7 Sc 0.8311 0.1216 0.7095
8 Sc 0.9164 0.5820 0.3344
9 Ga 0.2914 0.7914 0.5000
10 Ru 0.6479 0.8172 0.8307
11 Ru 0.9866 0.8172 0.1693

The 8 most intense peaks (15° ≤ 2θ ≤ 90°), by intensity:
| 2θ/deg | intensity |
| --- | --- |
| 38.24 | 100.0 |
| 37.47 | 51.7 |
| 22.77 | 39.2 |
| 43.80 | 29.6 |
| 33.70 | 29.0 |
| 23.06 | 27.2 |
| 33.95 | 26.8 |
| 36.71 | 22.9 |

***

Which formula does entry 2 have?
La4Tb5Pr